Diffraction record for PmY2Zr. The powder diffraction line list is computed, not measured: it uses a cell relaxed with PBE and Cu Kα.

Structural model:
Cell: 3.5286 3.5286 32.6514 Å, 90.00 90.00 120.00°
Space group R3m (No. 160, hexagonal axes)
Asymmetric unit:
Pm (0.0000, 0.0000, 0.0000) (multiplicity 3)
Y (0.0000, 0.0000, 0.2455) (multiplicity 3)
Y (0.0000, 0.0000, 0.4218) (multiplicity 3)
Zr (0.0000, 0.0000, 0.8338) (multiplicity 3)

The 10 most intense peaks (5 to 70 degrees two-theta), sorted by position:
2θ 29.4, rel. 16.4
2θ 29.7, rel. 26.0
2θ 31.3, rel. 20.5
2θ 32.3, rel. 100.0
2θ 32.9, rel. 41.7
2θ 35.1, rel. 67.4
2θ 40.4, rel. 16.0
2θ 51.8, rel. 35.8
2θ 56.6, rel. 20.7
2θ 62.8, rel. 37.5

***

Diffraction record for La3PmN2. The powder diffraction line list is computed, not measured: it uses a cell relaxed with PBE and Cu Kα.

Structural model:
Cell: 6.314 12.226 3.704 Å, 90.00 90.00 90.00°
Space group Pnnm (No. 58)
Asymmetric unit:
La (0.000, 0.000, 0.000) (multiplicity 2)
La (0.139, 0.265, 0.500) (multiplicity 4)
Pm (0.000, 0.500, 0.000) (multiplicity 2)
N (0.180, 0.872, 0.500) (multiplicity 4)

The 10 most intense peaks (5 to 70 degrees two-theta), sorted by position:
2θ 28.9, rel. 21.8
2θ 29.2, rel. 56.8
2θ 31.6, rel. 100.0
2θ 31.9, rel. 25.6
2θ 35.7, rel. 16.3
2θ 49.8, rel. 19.7
2θ 53.3, rel. 20.3
2θ 58.3, rel. 16.6
2θ 58.8, rel. 18.9
2θ 60.6, rel. 16.9

***

Diffraction record for V4Ga3W. The powder diffraction line list is computed, not measured: it uses a cell relaxed with PBE and Cu Kα.

Structural model:
Cell: 7.037 5.728 5.667 Å, 90.00 90.00 90.00°
Space group Pmna (No. 53)
Asymmetric unit:
V (0.000, 0.000, 0.000) (multiplicity 2)
V (0.000, 0.500, 0.000) (multiplicity 2)
V (0.250, 0.250, 0.250) (multiplicity 4)
Ga (0.000, 0.000, 0.500) (multiplicity 2)
Ga (0.250, 0.249, 0.750) (multiplicity 4)
W (0.000, 0.500, 0.500) (multiplicity 2)

The 10 most intense peaks (5 to 70 degrees two-theta), sorted by position:
2θ 15.5, rel. 16.8
2θ 20.1, rel. 37.4
2θ 25.5, rel. 21.6
2θ 37.4, rel. 16.7
2θ 40.6, rel. 100.0
2θ 40.9, rel. 98.0
2θ 45.0, rel. 73.8
2θ 52.0, rel. 23.8
2θ 65.1, rel. 13.4
2θ 65.9, rel. 11.2

***

What did the second record say?
Diffraction record for La3PmN2. The powder diffraction line list is computed, not measured: it uses a cell relaxed with PBE and Cu Kα.

Structural model:
Cell: 6.314 12.226 3.704 Å, 90.00 90.00 90.00°
Space group Pnnm (No. 58)
Asymmetric unit:
La (0.000, 0.000, 0.000) (multiplicity 2)
La (0.139, 0.265, 0.500) (multiplicity 4)
Pm (0.000, 0.500, 0.000) (multiplicity 2)
N (0.180, 0.872, 0.500) (multiplicity 4)

The 10 most intense peaks (5 to 70 degrees two-theta), sorted by position:
2θ 28.9, rel. 21.8
2θ 29.2, rel. 56.8
2θ 31.6, rel. 100.0
2θ 31.9, rel. 25.6
2θ 35.7, rel. 16.3
2θ 49.8, rel. 19.7
2θ 53.3, rel. 20.3
2θ 58.3, rel. 16.6
2θ 58.8, rel. 18.9
2θ 60.6, rel. 16.9